1.
Structure and simulated powder diffraction line list of Hf4Ge6Os7 (a GGA-PBE-relaxed structure; Cu Kα (weighted mean of Kα1 and Kα2)).
Kinematic intensities with the Lorentz-polarization factor, no thermal factor.

Structural model:
Cell lengths 8.182, 8.182, 8.182 Å; angles 90.00, 90.00, 90.00 degrees
Space group Im-3m (No. 229)
Inequivalent atoms, fractional coordinates:
Hf: 0.250 0.250 0.250 x8
Ge: 0.000 0.000 0.306 x12
Os: 0.000 0.000 0.000 x2
Os: 0.000 0.250 0.500 x12

Main lines, in order of rising 2θ (2θ from 5° to 70°):
2θ (°), I_rel, index
15.31, 7, 1 1 0
26.69, 22, 2 1 1
30.91, 13, 2 2 0
38.10, 100, 2 2 2
41.29, 34, 3 2 1
44.28, 68, 4 0 0
47.12, 4, 4 1 1
52.45, 15, 3 3 2
54.98, 3, 4 2 2
64.42, 41, 4 4 0

2.
Structure and simulated powder diffraction line list of Pm2Hf3Ge4 (a GGA-PBE-relaxed structure; Cu Kα (weighted mean of Kα1 and Kα2)).
Kinematic intensities with the Lorentz-polarization factor, no thermal factor.

Structural model:
Cell lengths 7.466, 7.460, 7.306 Å; angles 90.00, 109.70, 90.00 degrees
Space group P2_1/c (No. 14)
Inequivalent atoms, fractional coordinates:
Pm: 0.188 0.171 0.064 x4
Hf: 0.253 0.670 0.249 x4
Hf: 0.500 0.000 0.500 x2
Ge: 0.087 0.540 0.858 x4
Ge: 0.493 0.134 0.862 x4

Main lines, in order of rising 2θ (2θ from 5° to 70°):
2θ (°), I_rel, index
27.47, 25, 1 1 -2
31.95, 58, 2 1 -2
34.27, 100, 2 2 -1
34.55, 68, 1 2 -2
34.82, 94, 1 1 2
35.08, 52, 2 2 0
38.41, 29, 3 0 0
38.50, 81, 3 0 -2
38.90, 75, 1 1 -3
59.48, 25, 1 3 3

3.
Structure and simulated powder diffraction line list of Pm2HfGe6 (a GGA-PBE-relaxed structure; Cu Kα (weighted mean of Kα1 and Kα2)).
Kinematic intensities with the Lorentz-polarization factor, no thermal factor.

Structural model:
Cell lengths 13.010, 9.055, 3.960 Å; angles 90.00, 107.42, 90.00 degrees
Space group Cm (No. 8)
Inequivalent atoms, fractional coordinates:
Pm: 0.000 0.000 0.000 x2
Pm: 0.208 0.500 0.710 x2
Hf: 0.354 0.000 0.356 x2
Ge: 0.033 0.286 0.536 x4
Ge: 0.175 0.214 0.179 x4
Ge: 0.354 0.332 0.355 x4

Main lines, in order of rising 2θ (2θ from 5° to 70°):
2θ (°), I_rel, index
23.61, 88, 3 1 0
24.53, 100, 1 1 -1
36.86, 100, 3 3 0
37.10, 64, 2 2 1
37.25, 64, 4 2 -1
37.46, 29, 1 3 -1
40.28, 34, 1 3 1
43.76, 33, 6 0 0
45.83, 37, 2 0 -2
60.10, 27, 1 3 2

4.
Structure and simulated powder diffraction line list of PrHfGe (a GGA-PBE-relaxed structure; Cu Kα (weighted mean of Kα1 and Kα2)).
Kinematic intensities with the Lorentz-polarization factor, no thermal factor.

Structural model:
Cell lengths 7.6538, 7.6538, 4.3079 Å; angles 90.00, 90.00, 120.00 degrees
Space group P-62m (No. 189)
Inequivalent atoms, fractional coordinates:
Pr: 0.0000 0.4088 0.0000 x3
Hf: 0.0000 0.7633 0.5000 x3
Ge: 0.0000 0.0000 0.0000 x1
Ge: 0.3333 0.6667 0.5000 x2

Main lines, in order of rising 2θ (2θ from 5° to 70°):
2θ (°), I_rel, index
13.36, 11, 1 0 0
31.26, 100, 1 1 1
34.13, 71, 2 0 1
35.84, 70, 2 1 0
40.84, 16, 3 0 0
41.71, 32, 2 1 1
41.94, 28, 0 0 2
54.25, 20, 3 1 1
56.33, 38, 2 1 2
65.04, 24, 3 2 1

5.
Structure and simulated powder diffraction line list of HfGePt6 (a GGA-PBE-relaxed structure; Cu Kα (weighted mean of Kα1 and Kα2)).
Kinematic intensities with the Lorentz-polarization factor, no thermal factor.

Structural model:
Cell lengths 4.623, 5.671, 9.825 Å; angles 90.00, 90.00, 90.00 degrees
Space group Amm2 (No. 38)
Inequivalent atoms, fractional coordinates:
Hf: 0.000 0.000 0.000 x2
Ge: 0.500 0.000 0.335 x2
Pt: 0.000 0.000 0.499 x2
Pt: 0.000 0.249 0.250 x4
Pt: 0.500 0.000 0.832 x2
Pt: 0.500 0.249 0.584 x4

Main lines, in order of rising 2θ (2θ from 5° to 70°):
2θ (°), I_rel, index
18.06, 3, 0 1 1
26.48, 4, 1 1 1
31.55, 1, 0 2 0
36.59, 24, 0 2 2
37.19, 1, 1 2 0
38.96, 27, 2 0 0
41.64, 100, 1 0 4
53.16, 1, 1 1 5
54.51, 16, 2 2 2
65.87, 17, 0 4 0

6.
Structure and simulated powder diffraction line list of Hf2GeRh6 (a GGA-PBE-relaxed structure; Cu Kα (weighted mean of Kα1 and Kα2)).
Kinematic intensities with the Lorentz-polarization factor, no thermal factor.

Structural model:
Cell lengths 4.183, 6.160, 12.416 Å; angles 90.00, 90.00, 90.00 degrees
Space group Immm (No. 71)
Inequivalent atoms, fractional coordinates:
Hf: 0.000 0.000 0.162 x4
Ge: 0.000 0.000 0.500 x2
Rh: 0.000 0.241 0.337 x8
Rh: 0.000 0.273 0.000 x4

Main lines, in order of rising 2θ (2θ from 5° to 70°):
2θ (°), I_rel, index
25.74, 31, 1 1 0
25.94, 31, 0 1 3
42.49, 100, 1 2 3
43.26, 24, 2 0 0
43.75, 23, 0 0 6
49.45, 6, 1 3 0
51.13, 10, 2 1 3
51.45, 9, 1 1 6
60.08, 8, 0 4 0
63.21, 15, 2 0 6

7.
Structure and simulated powder diffraction line list of Hf8Ge2Rh3 (a GGA-PBE-relaxed structure; Cu Kα (weighted mean of Kα1 and Kα2)).
Kinematic intensities with the Lorentz-polarization factor, no thermal factor.

Structural model:
Cell lengths 15.095, 6.397, 5.497 Å; angles 90.00, 95.75, 90.00 degrees
Space group C2/m (No. 12)
Inequivalent atoms, fractional coordinates:
Hf: 0.061 0.000 0.272 x4
Hf: 0.128 0.243 0.832 x8
Hf: 0.179 0.500 0.334 x4
Ge: 0.231 0.000 0.180 x4
Rh: 0.000 0.309 0.500 x4
Rh: 0.000 0.500 0.000 x2

Main lines, in order of rising 2θ (2θ from 5° to 70°):
2θ (°), I_rel, index
34.03, 100, 2 2 -1
35.20, 32, 2 2 1
35.51, 29, 5 1 -1
36.06, 29, 2 0 2
36.78, 25, 1 1 2
36.92, 21, 4 2 0
38.56, 19, 3 1 -2
41.14, 27, 6 0 1
56.87, 21, 8 2 0
58.27, 25, 0 2 3

8.
Structure and simulated powder diffraction line list of HfTh2Ge3Rh4 (a GGA-PBE-relaxed structure; Cu Kα (weighted mean of Kα1 and Kα2)).
Kinematic intensities with the Lorentz-polarization factor, no thermal factor.

Structural model:
Cell lengths 4.169, 4.169, 11.015 Å; angles 90.00, 90.00, 90.00 degrees
Space group P-4m2 (No. 115)
Inequivalent atoms, fractional coordinates:
Hf: 0.000 0.000 0.000 x1
Th: 0.000 0.500 0.733 x2
Ge: 0.000 0.500 0.374 x2
Ge: 0.500 0.500 0.000 x1
Rh: 0.000 0.000 0.500 x1
Rh: 0.000 0.500 0.148 x2
Rh: 0.500 0.500 0.500 x1

Main lines, in order of rising 2θ (2θ from 5° to 70°):
2θ (°), I_rel, index
22.81, 11, 1 0 1
30.32, 9, 1 1 0
32.50, 56, 1 0 3
34.51, 100, 1 1 2
43.42, 46, 2 0 0
46.63, 24, 1 0 5
55.27, 30, 2 1 3
59.30, 10, 1 1 6
63.09, 17, 2 2 0
65.60, 17, 2 1 5

9.
Structure and simulated powder diffraction line list of HfThGe2Rh5 (a GGA-PBE-relaxed structure; Cu Kα (weighted mean of Kα1 and Kα2)).
Kinematic intensities with the Lorentz-polarization factor, no thermal factor.

Structural model:
Cell lengths 4.022, 4.022, 11.121 Å; angles 90.00, 90.00, 90.00 degrees
Space group P4/mmm (No. 123)
Inequivalent atoms, fractional coordinates:
Hf: 0.000 0.000 0.000 x1
Th: 0.000 0.000 0.500 x1
Ge: 0.500 0.500 0.282 x2
Rh: 0.000 0.500 0.160 x4
Rh: 0.500 0.500 0.500 x1

Main lines, in order of rising 2θ (2θ from 5° to 70°):
2θ (°), I_rel, index
24.01, 44, 0 0 3
27.37, 96, 1 0 2
32.50, 56, 1 1 1
35.45, 80, 1 1 2
39.96, 23, 1 1 3
45.08, 78, 2 0 0
45.63, 100, 1 1 4
53.55, 31, 2 1 2
65.66, 25, 2 2 0
68.89, 28, 2 0 6

10.
Structure and simulated powder diffraction line list of Hf6GeSb3 (a GGA-PBE-relaxed structure; Cu Kα (weighted mean of Kα1 and Kα2)).
Kinematic intensities with the Lorentz-polarization factor, no thermal factor.

Structural model:
Cell lengths 6.688, 7.666, 11.138 Å; angles 90.00, 126.84, 90.00 degrees
Space group P2_1/c (No. 14)
Inequivalent atoms, fractional coordinates:
Hf: 0.009 0.074 0.241 x4
Hf: 0.189 0.681 0.059 x4
Hf: 0.404 0.151 0.049 x4
Ge: 0.000 0.000 0.000 x2
Sb: 0.322 0.141 0.741 x4
Sb: 0.500 0.000 0.500 x2

Main lines, in order of rising 2θ (2θ from 5° to 70°):
2θ (°), I_rel, index
28.65, 31, 1 2 -2
29.14, 28, 2 1 -2
30.84, 30, 2 1 -3
32.98, 44, 1 0 2
33.63, 100, 1 2 -3
35.06, 42, 1 1 -4
35.55, 52, 2 1 0
37.07, 26, 2 2 -1
37.69, 45, 1 3 -1
47.12, 28, 3 1 -5

11.
Structure and simulated powder diffraction line list of HfGe2Se8 (a GGA-PBE-relaxed structure; Cu Kα (weighted mean of Kα1 and Kα2)).
Kinematic intensities with the Lorentz-polarization factor, no thermal factor.

Structural model:
Cell lengths 7.2208, 7.2208, 7.1880 Å; angles 90.00, 90.00, 120.00 degrees
Space group P-3m1 (No. 164)
Inequivalent atoms, fractional coordinates:
Hf: 0.0000 0.0000 0.0000 x1
Ge: 0.3333 0.6667 0.6601 x2
Se: 0.1434 0.2868 0.7290 x6
Se: 0.3333 0.6667 0.3312 x2

Main lines, in order of rising 2θ (2θ from 5° to 70°):
2θ (°), I_rel, index
14.16, 47, 1 0 0
18.81, 92, 1 0 1
24.66, 50, 1 1 0
24.77, 25, 0 0 2
31.19, 100, 2 0 1
38.15, 56, 0 2 2
40.16, 47, 2 1 1
45.43, 29, 1 1 3
45.96, 32, 1 2 2
50.57, 45, 2 2 0

12.
Structure and simulated powder diffraction line list of Hf3GeSe3 (a GGA-PBE-relaxed structure; Cu Kα (weighted mean of Kα1 and Kα2)).
Kinematic intensities with the Lorentz-polarization factor, no thermal factor.

Structural model:
Cell lengths 10.747, 10.747, 10.747 Å; angles 90.00, 90.00, 90.00 degrees
Space group I4_132 (No. 214)
Inequivalent atoms, fractional coordinates:
Hf: 0.121 0.371 0.125 x24
Ge: 0.125 0.125 0.125 x8
Se: 0.120 0.130 0.625 x24

Main lines, in order of rising 2θ (2θ from 5° to 70°):
2θ (°), I_rel, index
11.64, 27, 1 1 0
20.24, 11, 2 1 1
26.22, 7, 3 1 0
28.78, 12, 2 2 2
31.14, 15, 3 2 1
33.35, 100, 4 0 0
39.32, 6, 3 3 2
42.91, 7, 5 1 0
47.88, 72, 4 4 0
59.60, 25, 4 4 4

13.
Structure and simulated powder diffraction line list of HfSiGe (a GGA-PBE-relaxed structure; Cu Kα (weighted mean of Kα1 and Kα2)).
Kinematic intensities with the Lorentz-polarization factor, no thermal factor.

Structural model:
Cell lengths 3.737, 14.889, 3.722 Å; angles 90.00, 90.00, 90.00 degrees
Space group Cmcm (No. 63)
Inequivalent atoms, fractional coordinates:
Hf: 0.000 0.109 0.250 x4
Si: 0.000 0.250 0.750 x4
Ge: 0.000 0.439 0.250 x4

Main lines, in order of rising 2θ (2θ from 5° to 70°):
2θ (°), I_rel, index
11.89, 19, 0 2 0
23.91, 20, 0 4 0
26.78, 25, 0 2 1
29.93, 17, 1 3 0
34.54, 23, 1 1 1
36.20, 13, 0 6 0
38.66, 100, 1 3 1
43.85, 19, 0 6 1
48.73, 14, 2 0 0
48.94, 15, 0 0 2